# AgH14C3S3N6ClO
Simulated powder XRD pattern, Cu Kα (λ = 1.5418 Å). Input: DFT lattice parameters and positions (PBE).

Main lines, low angle first (10° ≤ 2θ ≤ 90°):
| d_spacing | I_rel |
| --- | --- |
| 8.142 | 57 |
| 6.706 | 51 |
| 5.204 | 93 |
| 4.136 | 42 |
| 3.205 | 100 |
| 2.780 | 42 |

Structure:
```
AgH14C3S3N6ClO
1.0
6.2640 0.0000 0.0000
-2.0996 9.9115 0.0000
-0.3714 -2.1913 11.1213
Ag H C S N Cl O
2 28 6 6 12 2 2
Direct
0.1275 0.0351 0.3861
0.8725 0.9649 0.6139
0.0057 0.5684 0.2878
0.0241 0.3451 0.1156
0.1046 0.8691 0.1580
0.1625 0.7241 0.0646
0.1803 0.7916 0.6250
0.2289 0.5372 0.3684
0.2992 0.3738 0.0817
0.3228 0.6640 0.5705
0.3432 0.2650 0.7743
0.3921 0.4384 0.5925
0.4119 0.0853 0.1807
0.4431 0.5420 0.7129
0.4812 0.6540 0.0978
0.4810 0.7677 0.8764
0.5190 0.2323 0.1236
0.5188 0.3460 0.9022
0.5569 0.4580 0.2871
0.5881 0.9147 0.8193
0.6079 0.5616 0.4075
0.6568 0.7350 0.2257
0.6772 0.3360 0.4295
0.7008 0.6262 0.9183
0.7711 0.4628 0.6316
0.8197 0.2084 0.3750
0.8375 0.2759 0.9354
0.8954 0.1309 0.8420
0.9759 0.6549 0.8844
0.9943 0.4316 0.7122
0.0808 0.6902 0.4539
0.1880 0.1953 0.1443
0.3885 0.8162 0.2064
0.6115 0.1838 0.7936
0.8120 0.8047 0.8557
0.9192 0.3098 0.5461
0.0365 0.9088 0.8109
0.1244 0.2224 0.5667
0.4655 0.9432 0.3318
0.5345 0.0568 0.6682
0.8756 0.7776 0.4333
0.9635 0.0912 0.1891
0.1038 0.5883 0.3653
0.1671 0.3114 0.1080
0.1986 0.7974 0.1411
0.2116 0.7216 0.5545
0.3844 0.1626 0.1397
0.4773 0.2684 0.8289
0.5227 0.7316 0.1711
0.6156 0.8374 0.8603
0.7884 0.2784 0.4455
0.8014 0.2026 0.8589
0.8329 0.6886 0.8920
0.8962 0.4117 0.6347
0.2712 0.5533 0.8951
0.7288 0.4467 0.1049
0.4857 0.5284 0.6293
0.5143 0.4716 0.3707
```


# Zn2CuC2NCl6
Simulated powder XRD pattern, Cu Kα (λ = 1.5418 Å). Input: DFT lattice parameters and positions (PBE).

Main lines, low angle first (10° ≤ 2θ ≤ 90°):
| d_spacing | I_rel |
| --- | --- |
| 8.697 | 100 |
| 6.112 | 17 |
| 5.261 | 22 |
| 3.305 | 22 |
| 2.916 | 30 |
| 2.842 | 17 |

Structure:
```
Zn2CuC2NCl6
1.0
-3.7547 5.2605 7.7281
3.7547 -5.2605 7.7281
3.7547 5.2605 -7.7281
Zn Cu C N Cl
4 2 4 2 12
Direct
0.0217 0.3655 0.0232
0.4783 0.5015 0.3439
0.6576 0.1345 0.1561
0.8424 0.9985 0.4768
0.7149 0.9649 0.7500
0.7851 0.5351 0.2500
0.2490 0.1642 0.4136
0.2494 0.3358 0.5848
0.2510 0.6646 0.9152
0.2506 0.8354 0.0864
0.2489 0.9989 0.2500
0.2511 0.5011 0.7500
0.0345 0.2845 0.7500
0.2500 0.5872 0.3372
0.4655 0.2155 0.2500
0.5174 0.0239 0.8220
0.5248 0.4919 0.1349
0.6430 0.0081 0.5329
0.7020 0.6954 0.6780
0.7500 0.9128 0.1628
0.7980 0.4761 0.9935
0.8570 0.3899 0.3651
0.9752 0.1101 0.9671
0.9826 0.8046 0.5065
```


# RbSnS4
Simulated powder XRD pattern, Cu Kα (λ = 1.5418 Å). Input: DFT lattice parameters and positions (PBE).

Main lines, low angle first (10° ≤ 2θ ≤ 90°):
| d_spacing | I_rel |
| --- | --- |
| 7.102 | 100 |
| 4.821 | 46 |
| 3.587 | 51 |
| 3.455 | 55 |
| 3.182 | 58 |
| 3.049 | 41 |

Structure:
```
RbSnS4
1.0
10.0607 0.0000 0.0000
0.0000 10.1257 0.0000
-5.9241 0.0000 14.1684
Rb Sn S
8 8 32
Direct
0.1215 0.2247 0.0925
0.1215 0.2753 0.5925
0.3571 0.6340 0.2037
0.3571 0.8660 0.7037
0.6429 0.1340 0.2963
0.6429 0.3660 0.7963
0.8785 0.7247 0.4075
0.8785 0.7753 0.9075
0.3127 0.0001 0.4056
0.3127 0.4999 0.9056
0.4892 0.6749 0.5141
0.4892 0.8251 0.0141
0.5108 0.1749 0.9859
0.5108 0.3251 0.4859
0.6873 0.9999 0.5944
0.6873 0.5001 0.0944
0.0097 0.6408 0.6963
0.0097 0.8592 0.1963
0.0349 0.6567 0.2256
0.0349 0.8433 0.7256
0.0546 0.0590 0.4006
0.0546 0.4410 0.9006
0.2112 0.5661 0.7248
0.2112 0.9339 0.2248
0.2504 0.7250 0.9606
0.2504 0.7750 0.4606
0.3471 0.2285 0.3381
0.3471 0.2715 0.8381
0.4184 0.0373 0.0799
0.4184 0.4627 0.5799
0.4380 0.1026 0.5726
0.4380 0.3974 0.0726
0.5620 0.6026 0.9274
0.5620 0.8974 0.4274
0.5816 0.5373 0.4201
0.5816 0.9627 0.9201
0.6529 0.7285 0.1619
0.6529 0.7715 0.6619
0.7496 0.2250 0.5394
0.7496 0.2750 0.0394
0.7888 0.0661 0.7752
0.7888 0.4339 0.2752
0.9454 0.5590 0.0994
0.9454 0.9410 0.5994
0.9651 0.1567 0.2744
0.9651 0.3433 0.7744
0.9903 0.1408 0.8037
0.9903 0.3592 0.3037
```


# KPrPdO3
Simulated powder XRD pattern, Cu Kα (λ = 1.5418 Å). Input: DFT lattice parameters and positions (PBE).

Main lines, low angle first (10° ≤ 2θ ≤ 90°):
| d_spacing | I_rel |
| --- | --- |
| 7.328 | 75 |
| 2.933 | 67 |
| 2.885 | 41 |
| 2.822 | 39 |
| 2.750 | 100 |
| 2.163 | 26 |

Structure:
```
KPrPdO3
1.0
6.7218 -1.9949 0.0000
6.7218 1.9949 0.0000
-1.9789 0.0000 7.3282
K Pr Pd O
2 2 2 6
Direct
0.1433 0.1433 0.0654
0.8567 0.8567 0.9346
0.1496 0.1496 0.5796
0.8504 0.8504 0.4204
0.4935 0.4935 0.7275
0.5065 0.5065 0.2725
0.0067 0.0067 0.3097
0.3318 0.3318 0.6340
0.3479 0.3479 0.2194
0.6521 0.6521 0.7806
0.6682 0.6682 0.3660
0.9933 0.9933 0.6903
```


# Y2Fe17
Simulated powder XRD pattern, Cu Kα (λ = 1.5418 Å). Input: DFT lattice parameters and positions (PBE).

Main lines, low angle first (10° ≤ 2θ ≤ 90°):
| d_spacing | I_rel |
| --- | --- |
| 2.448 | 36 |
| 2.203 | 33 |
| 2.120 | 61 |
| 2.106 | 100 |
| 2.065 | 35 |
| 1.886 | 47 |

Structure:
```
Y2Fe17
1.0
8.4809 0.0000 0.0000
-4.2405 7.3447 0.0000
0.0000 0.0000 8.2602
Y Fe
4 34
Direct
0.0000 0.0000 0.2500
0.0000 0.0000 0.7500
0.3333 0.6667 0.2500
0.6667 0.3333 0.7500
0.0000 0.5000 0.0000
0.0000 0.5000 0.5000
0.0398 0.3694 0.7500
0.0398 0.6704 0.7500
0.1663 0.3326 0.0156
0.1663 0.3326 0.4844
0.1663 0.8337 0.0156
0.1663 0.8337 0.4844
0.3296 0.3694 0.7500
0.3296 0.9602 0.7500
0.3326 0.1663 0.5156
0.3326 0.1663 0.9844
0.3333 0.6667 0.6068
0.3333 0.6667 0.8932
0.3694 0.0398 0.2500
0.3694 0.3296 0.2500
0.5000 0.0000 0.0000
0.5000 0.0000 0.5000
0.5000 0.5000 0.0000
0.5000 0.5000 0.5000
0.6306 0.6704 0.7500
0.6306 0.9602 0.7500
0.6667 0.3333 0.1068
0.6667 0.3333 0.3932
0.6674 0.8337 0.0156
0.6674 0.8337 0.4844
0.6704 0.0398 0.2500
0.6704 0.6306 0.2500
0.8337 0.1663 0.5156
0.8337 0.1663 0.9844
0.8337 0.6674 0.5156
0.8337 0.6674 0.9844
0.9602 0.3296 0.2500
0.9602 0.6306 0.2500
```


# CeTl2P5O15
Simulated powder XRD pattern, Cu Kα (λ = 1.5418 Å). Input: DFT lattice parameters and positions (PBE).

Main lines, low angle first (10° ≤ 2θ ≤ 90°):
| d_spacing | I_rel |
| --- | --- |
| 3.631 | 59 |
| 3.593 | 70 |
| 3.489 | 96 |
| 3.411 | 100 |
| 3.376 | 58 |
| 2.752 | 48 |

Structure:
```
CeTl2P5O15
1.0
4.3494 -5.9651 0.0000
4.3494 5.9651 0.0000
-0.2021 0.0000 13.5020
Ce Tl P O
2 4 10 30
Direct
0.0953 0.9047 0.5000
0.9047 0.0953 0.0000
0.2112 0.4483 0.6972
0.2845 0.6950 0.9936
0.4483 0.2112 0.1972
0.6950 0.2845 0.4936
0.0066 0.3995 0.2358
0.0291 0.8135 0.2193
0.2254 0.4393 0.4214
0.3995 0.0066 0.7358
0.4393 0.2254 0.9214
0.5510 0.7908 0.4099
0.6186 0.7685 0.1919
0.7685 0.6186 0.6919
0.7908 0.5510 0.9099
0.8135 0.0291 0.7193
0.0220 0.2923 0.1428
0.0746 0.9160 0.1222
0.0875 0.6224 0.2074
0.1107 0.5589 0.4602
0.1159 0.9175 0.3129
0.1808 0.3860 0.3059
0.2202 0.2561 0.4730
0.2561 0.2202 0.9730
0.2923 0.0220 0.6428
0.3510 0.8251 0.7913
0.3860 0.1808 0.8059
0.4336 0.8976 0.4606
0.4495 0.5618 0.4175
0.4847 0.5877 0.1515
0.5359 0.8318 0.2932
0.5589 0.1107 0.9602
0.5618 0.4495 0.9175
0.5877 0.4847 0.6515
0.6224 0.0875 0.7074
0.6702 0.9423 0.1272
0.7269 0.8041 0.7332
0.7542 0.8261 0.4415
0.8041 0.7269 0.2332
0.8251 0.3510 0.2913
0.8261 0.7542 0.9415
0.8318 0.5359 0.7932
0.8976 0.4336 0.9606
0.9160 0.0746 0.6222
0.9175 0.1159 0.8129
0.9423 0.6702 0.6272
```